The following is a calculated X-ray powder pattern of Hf4Tc. It was derived from the PBE geometry in Alexandria, using λ = 1.5418 Å (Cu Kα).

Top 10 peaks for 10 to 80 degrees two-theta, low angle first:
31.0 deg, rel. 12; 34.1 deg, rel. 15; 35.5 deg, rel. 100; 38.2 deg, rel. 15; 40.8 deg, rel. 30; 52.1 deg, rel. 22; 58.1 deg, rel. 11; 61.9 deg, rel. 15; 66.4 deg, rel. 15; 67.3 deg, rel. 14

Cell and atoms:
```
Hf4Tc
1.0
-2.8825 2.8825 6.4543
2.8825 -2.8825 6.4543
2.8825 2.8825 -6.4543
Hf Tc
8 2
Direct
0.0694 0.1993 0.3634
0.2060 0.5694 0.3700
0.3007 0.1641 0.8700
0.3359 0.7060 0.1366
0.6641 0.2940 0.8634
0.6993 0.8359 0.1300
0.7940 0.4306 0.6300
0.9306 0.8007 0.6366
0.3750 0.1250 0.2500
0.6250 0.8750 0.7500
```